Structure and simulated powder XRD pattern of K2Na4Tl (a crystal structure in Alexandria, relaxed with PBE; λ = 1.5418 Å (Cu Kα)).

Most intense lines, 15° ≤ 2θ ≤ 90°, sorted by position:
Position (°2θ)	I/Imax	index
16.12	96.1	1 1 -1
17.07	100.0	1 1 1
18.51	43.6	0 2 0
20.70	50.5	3 1 -1
21.05	37.2	2 2 0
27.34	53.9	4 2 0
28.34	67.1	5 1 -1
31.04	97.1	5 1 1
31.52	49.0	1 3 1
31.97	39.2	0 2 2

Structural model:
Unit cell a=17.937 b=9.588 c=6.949 alpha=90.00 beta=97.02 gamma=90.00
Space group P2_1/c (No. 14)
Symmetry-distinct sites (fractional):
K  0.096  0.131  0.031
K  0.306  0.586  0.605
Na  0.091  0.750  0.279
Na  0.196  0.005  0.563
Na  0.373  0.183  0.684
Na  0.465  0.657  0.074
Tl  0.000  0.000  0.500
Tl  0.500  0.000  0.000